The following is a calculated powder diffractogram of Pm2Pr2Ho2Mg. It was derived from the PBE geometry in Alexandria, using Cu Ka.
Peak positions follow from Bragg's law for the DFT cell and can differ from measured ones.

Crystal structure
a = 11.814 Å, b = 3.533 Å, c = 11.867 Å
α = 90.00°, β = 111.84°, γ = 90.00°
Sites, in units of the cell vectors:
Pm 0.235 0.000 0.361
Pm 0.265 0.500 0.639
Pm 0.735 0.500 0.361
Pm 0.765 0.000 0.639
Pr 0.051 0.500 0.765
Pr 0.449 0.000 0.235
Pr 0.551 0.000 0.765
Pr 0.949 0.500 0.235
Ho 0.168 0.500 0.082
Ho 0.332 0.000 0.918
Ho 0.668 0.000 0.082
Ho 0.832 0.500 0.918
Mg 0.000 0.000 0.500
Mg 0.500 0.500 0.500

The 6 most intense peaks (2θ from 10° to 80°), sorted by position:
| Position (°2θ) | d/Å | I_rel |
| --- | --- | --- |
| 30.4 | 2.938 | 93 |
| 30.5 | 2.928 | 90 |
| 32.7 | 2.735 | 100 |
| 34.1 | 2.631 | 74 |
| 34.9 | 2.574 | 75 |
| 61.3 | 1.513 | 50 |